NbNiB: theoretical powder diffraction line list (λ = 1.5418 Å (Cu Kα)), based on a DFT-relaxed cell (GGA-PBE, the Materials Project).

Crystal structure
Cell: 3.3015 13.3663 3.0788 Å, 90.00 90.00 90.00°
Space group Cmcm (No. 63)
Symmetry-distinct sites (fractional):
Nb 0.0000 0.0983 0.2500 [4 per cell]
Ni 0.0000 0.2954 0.2500 [4 per cell]
B 0.0000 0.4656 0.2500 [4 per cell]

Top 8 peaks for 2θ = 10–90°, low angle first:
d 3.205, I = 257, hkl 1 1 0; d 2.796, I = 181, hkl 0 2 1; d 2.264, I = 474, hkl 0 4 1; d 2.220, I = 1000, hkl 1 1 1; d 2.078, I = 761, hkl 1 5 0; d 1.805, I = 270, hkl 0 6 1; d 1.651, I = 194, hkl 2 0 0; d 1.237, I = 259, hkl 1 5 2